Starting from a GGA-PBE-relaxed structure, the powder X-ray diffraction pattern of CsTe2IBr was computed for Cu Ka.
Peak positions follow from Bragg's law for the DFT cell and can differ from measured ones.

Crystal structure
```
data_CsTe2IBr
_chemical_formula_sum 'Cs1 Te2 I1 Br1'
_symmetry_space_group_name_H-M 'P 4/m m m'
_symmetry_Int_Tables_number 123
_symmetry_space_group_name_Hall '-P 4 2'
_cell_length_a 5.621
_cell_length_b 5.621
_cell_length_c 8.142
_cell_angle_alpha 90.00
_cell_angle_beta 90.00
_cell_angle_gamma 90.00
loop_
_atom_site_label
_atom_site_fract_x
_atom_site_fract_y
_atom_site_fract_z
_atom_site_occupancy
Cs1 0.000 0.000 0.000 1
Te1 0.000 0.500 0.500 1
I1 0.500 0.500 0.000 1
Br1 0.500 0.500 0.500 1
```

Peak list (10 most intense, 2θ from 10° to 90°, by angle)
Position (°2θ)  I (rel.)  (hkl)
21.83  67.4  0 0 2
24.93  100.0  1 1 1
31.84  51.4  2 0 0
38.94  59.0  2 0 2
40.24  27.9  1 1 3
45.65  18.6  2 2 0
51.15  26.6  2 2 2
52.71  25.3  3 1 1
55.76  20.5  2 0 4
79.88  21.9  4 2 2

***

Starting from a GGA-PBE-relaxed structure, the powder X-ray diffraction pattern of Cs2TiI5Br was computed for Cu Ka.
Peak positions follow from Bragg's law for the DFT cell and can differ from measured ones.

Crystal structure
```
data_Cs2TiI5Br
_chemical_formula_sum 'Cs4 Ti2 I10 Br2'
_symmetry_space_group_name_H-M 'I 4 m m'
_symmetry_Int_Tables_number 107
_symmetry_space_group_name_Hall 'I 4 -2'
_cell_length_a 8.302
_cell_length_b 8.302
_cell_length_c 11.648
_cell_angle_alpha 90.00
_cell_angle_beta 90.00
_cell_angle_gamma 90.00
loop_
_atom_site_label
_atom_site_fract_x
_atom_site_fract_y
_atom_site_fract_z
_atom_site_occupancy
Cs1 0.000 0.500 0.000 1
Ti1 0.000 0.000 0.245 1
I1 0.000 0.000 0.485 1
I2 0.237 0.237 0.250 1
Br1 0.000 0.000 0.031 1
```

Peak list (10 most intense, 2θ from 10° to 90°, by angle)
Position (°2θ)  I (rel.)  (hkl)
13.10  10.0  1 0 1
26.37  100.0  2 0 2
30.45  42.2  2 2 0
30.70  19.8  0 0 4
43.61  15.1  4 0 0
43.79  28.5  2 2 4
51.68  29.0  4 2 2
52.00  13.1  2 0 6
54.28  14.6  4 0 4
70.14  10.1  4 2 6